Computed X-ray powder pattern
Compound: NdNbN2O
Radiation: Cu Kα (weighted mean of Kα1 and Kα2)
Structure: a PBE-relaxed structure
Peak positions follow from Bragg's law for the DFT cell and can differ from measured ones.

```
data_NdNbN2O
_chemical_formula_sum 'Nd6 Nb6 N12 O6'
_cell_length_a 5.7561
_cell_length_b 5.7561
_cell_length_c 14.2329
_cell_angle_alpha 90.00
_cell_angle_beta 90.00
_cell_angle_gamma 120.00
_symmetry_space_group_name_H-M 'P 63/m m c'
_symmetry_Int_Tables_number 194
_symmetry_space_group_name_Hall '-P 6c 2c'
loop_
_atom_site_label
_atom_site_fract_x
_atom_site_fract_y
_atom_site_fract_z
Nd1 0.0000 0.0000 0.2500
Nd2 0.3333 0.6667 0.1166
Nb1 0.0000 0.0000 0.0000
Nb2 0.3333 0.6667 0.6454
N1 0.1597 0.3195 0.5901
O1 0.0112 0.5056 0.2500
```

Principal peaks in the range 2θ from 5° to 70°, in order of rising 2θ:
Position (°2θ)  d (Å)  I (rel.)  hkl
30.88  2.896  846  1 0 4
31.07  2.878  1000  1 1 0
40.30  2.238  93  1 1 4
44.37  2.041  464  2 0 4
55.16  1.665  342  2 1 4
55.29  1.662  198  3 0 0
61.25  1.513  218  1 1 8
64.79  1.439  174  2 2 0

=====

Computed X-ray powder pattern
Compound: HfZr
Radiation: Cu Kα (weighted mean of Kα1 and Kα2)
Structure: a PBE-relaxed structure
Peak positions follow from Bragg's law for the DFT cell and can differ from measured ones.

```
data_HfZr
_chemical_formula_sum 'Hf8 Zr8'
_cell_length_a 5.114
_cell_length_b 12.857
_cell_length_c 5.563
_cell_angle_alpha 90.00
_cell_angle_beta 90.00
_cell_angle_gamma 90.00
_symmetry_space_group_name_H-M 'P m m 2'
_symmetry_Int_Tables_number 25
_symmetry_space_group_name_Hall 'P 2 -2'
loop_
_atom_site_label
_atom_site_fract_x
_atom_site_fract_y
_atom_site_fract_z
Hf1 0.000 0.000 0.000
Hf2 0.000 0.122 0.497
Hf3 0.000 0.500 0.002
Hf4 0.500 0.000 0.329
Hf5 0.500 0.378 0.834
Hf6 0.500 0.500 0.331
Zr1 0.000 0.250 0.997
Zr2 0.000 0.376 0.501
Zr3 0.500 0.125 0.830
Zr4 0.500 0.250 0.334
```

Principal peaks in the range 2θ from 5° to 70°, in order of rising 2θ:
Position (°2θ)  d (Å)  I (rel.)  hkl
13.78  6.428  60  0 2 0
32.17  2.783  239  0 0 2
35.10  2.557  255  2 0 0
36.77  2.444  1000  1 4 1
48.34  1.883  153  2 0 2
57.35  1.607  183  0 4 3
64.06  1.454  196  3 4 1
69.04  1.360  209  2 4 3

=====

Computed X-ray powder pattern
Compound: Cu3Si4Se
Radiation: Cu Kα (weighted mean of Kα1 and Kα2)
Structure: a PBE-relaxed structure
Peak positions follow from Bragg's law for the DFT cell and can differ from measured ones.

```
data_Cu3Si4Se
_chemical_formula_sum 'Cu3 Si4 Se1'
_cell_length_a 4.994
_cell_length_b 4.994
_cell_length_c 4.994
_cell_angle_alpha 90.00
_cell_angle_beta 90.00
_cell_angle_gamma 90.00
_symmetry_space_group_name_H-M 'P m -3 m'
_symmetry_Int_Tables_number 221
_symmetry_space_group_name_Hall '-P 4 2 3'
loop_
_atom_site_label
_atom_site_fract_x
_atom_site_fract_y
_atom_site_fract_z
Cu1 0.000 0.000 0.500
Si1 0.000 0.000 0.000
Si2 0.000 0.500 0.500
Se1 0.500 0.500 0.500
```

Principal peaks in the range 2θ from 5° to 70°, in order of rising 2θ:
Position (°2θ)  d (Å)  I (rel.)  hkl
31.02  2.883  366  1 1 1
35.97  2.497  1000  2 0 0
51.78  1.766  670  2 2 0
61.59  1.506  141  3 1 1
64.66  1.442  222  2 2 2

=====

Computed X-ray powder pattern
Compound: Pr4B4O11F2
Radiation: Cu Kα (weighted mean of Kα1 and Kα2)
Structure: a PBE-relaxed structure
Peak positions follow from Bragg's law for the DFT cell and can differ from measured ones.

```
data_Pr4B4O11F2
_chemical_formula_sum 'Pr16 B16 O44 F8'
_cell_length_a 13.891
_cell_length_b 4.718
_cell_length_c 13.969
_cell_angle_alpha 90.00
_cell_angle_beta 91.18
_cell_angle_gamma 90.00
_symmetry_space_group_name_H-M 'C 1 2/c 1'
_symmetry_Int_Tables_number 15
_symmetry_space_group_name_Hall '-C 2yc'
loop_
_atom_site_label
_atom_site_fract_x
_atom_site_fract_y
_atom_site_fract_z
Pr1 0.058 0.025 0.370
Pr2 0.222 0.022 0.127
B1 0.093 0.481 0.215
B2 0.094 0.451 0.527
O1 0.000 0.359 0.250
O2 0.080 0.164 0.537
O3 0.087 0.375 0.107
O4 0.101 0.221 0.725
O5 0.112 0.444 0.938
O6 0.171 0.317 0.257
F1 0.231 0.021 0.426
```

Principal peaks in the range 2θ from 5° to 70°, in order of rising 2θ:
Position (°2θ)  d (Å)  I (rel.)  hkl
19.87  4.467  705  1 1 0
25.51  3.491  780  0 0 4
28.47  3.135  433  4 0 -2
29.74  3.004  1000  3 1 -2
30.09  2.970  978  3 1 2
32.44  2.760  423  1 1 -4
46.45  1.955  500  0 2 4
47.45  1.916  507  3 1 -6

=====

Computed X-ray powder pattern
Compound: TbPm4Te5
Radiation: Cu Kα (weighted mean of Kα1 and Kα2)
Structure: a PBE-relaxed structure
Peak positions follow from Bragg's law for the DFT cell and can differ from measured ones.

```
data_TbPm4Te5
_chemical_formula_sum 'Tb2 Pm8 Te10'
_cell_length_a 4.426
_cell_length_b 4.426
_cell_length_c 31.706
_cell_angle_alpha 90.00
_cell_angle_beta 90.00
_cell_angle_gamma 90.00
_symmetry_space_group_name_H-M 'I 4/m m m'
_symmetry_Int_Tables_number 139
_symmetry_space_group_name_Hall '-I 4 2'
loop_
_atom_site_label
_atom_site_fract_x
_atom_site_fract_y
_atom_site_fract_z
Tb1 0.000 0.000 0.000
Pm1 0.000 0.000 0.193
Pm2 0.000 0.000 0.396
Te1 0.000 0.000 0.096
Te2 0.000 0.000 0.296
Te3 0.000 0.000 0.500
```

Principal peaks in the range 2θ from 5° to 70°, in order of rising 2θ:
Position (°2θ)  d (Å)  I (rel.)  hkl
28.14  3.171  482  0 0 10
28.52  3.130  1000  1 1 0
40.50  2.227  724  1 1 10
40.77  2.213  381  2 0 0
50.28  1.815  387  2 0 10
66.07  1.414  136  1 1 20
66.65  1.403  165  2 2 10
66.84  1.400  175  3 1 0